Entry 1:
This entry pairs a crystal structure of Li4Cr3Ni3Sb2O16 with its theoretical powder diffraction line list. Radiation: Cu Kα (λ = 1.5418 Å). Structure: a crystal structure in the Materials Project, relaxed with GGA+U.
Intensities are scaled so that the largest is 100.

Principal peaks in the range 2θ = 15–90°, by angle:
18.44°, I = 26.9
19.45°, I = 92.7
19.64°, I = 92.0
19.72°, I = 100.0
25.15°, I = 34.4
32.66°, I = 39.8
33.16°, I = 33.7
35.79°, I = 73.2
36.33°, I = 62.5
60.58°, I = 26.3

a b c (Å): 5.912 5.927 9.624
angles (deg): 90.78 90.30 119.74
Space group P1 (No. 1)
Asymmetric unit:
Li  0.000  0.000  0.000 [1 per cell]
Li  0.002  0.004  0.505 [1 per cell]
Li  0.334  0.678  0.593 [1 per cell]
Li  0.660  0.334  0.091 [1 per cell]
Cr  0.161  0.819  0.275 [1 per cell]
Cr  0.659  0.831  0.279 [1 per cell]
Cr  0.822  0.655  0.774 [1 per cell]
Ni  0.170  0.342  0.281 [1 per cell]
Ni  0.339  0.171  0.781 [1 per cell]
Ni  0.830  0.173  0.781 [1 per cell]
Sb  0.329  0.661  0.003 [1 per cell]
Sb  0.666  0.330  0.505 [1 per cell]
O  0.000  0.987  0.190 [1 per cell]
O  0.031  0.529  0.148 [1 per cell]
O  0.156  0.323  0.899 [1 per cell]
O  0.157  0.825  0.897 [1 per cell]
O  0.327  0.158  0.400 [1 per cell]
O  0.334  0.692  0.385 [1 per cell]
O  0.476  0.964  0.151 [1 per cell]
O  0.481  0.522  0.148 [1 per cell]
O  0.524  0.044  0.650 [1 per cell]
O  0.530  0.501  0.646 [1 per cell]
O  0.663  0.826  0.898 [1 per cell]
O  0.684  0.360  0.883 [1 per cell]
O  0.832  0.667  0.394 [1 per cell]
O  0.835  0.163  0.400 [1 per cell]
O  0.966  0.499  0.646 [1 per cell]
O  0.986  0.986  0.695 [1 per cell]

***

Entry 2:
This entry pairs a crystal structure of Li4Cr3Ni2Sn3O16 with its theoretical powder diffraction line list. Radiation: Cu Kα (λ = 1.5418 Å). Structure: a crystal structure in the Materials Project, relaxed with GGA+U.
Intensities are scaled so that the largest is 100.

Principal peaks in the range 2θ = 15–90°, by angle:
18.25°, I = 100.0
19.15°, I = 44.6
19.33°, I = 68.2
25.13°, I = 23.5
34.21°, I = 24.6
35.37°, I = 48.5
35.57°, I = 46.5
44.28°, I = 26.6
44.64°, I = 26.0
61.25°, I = 46.0

a b c (Å): 10.487 6.052 9.722
angles (deg): 90.00 90.90 90.00
Space group Cm (No. 8)
Asymmetric unit:
Li  0.000  0.000  0.000 [2 per cell]
Li  0.000  0.000  0.493 [2 per cell]
Li  0.153  0.500  0.894 [2 per cell]
Li  0.317  0.000  0.386 [2 per cell]
Cr  0.072  0.253  0.212 [4 per cell]
Cr  0.156  0.000  0.711 [2 per cell]
Ni  0.157  0.500  0.484 [2 per cell]
Ni  0.321  0.000  0.988 [2 per cell]
Sn  0.318  0.500  0.214 [2 per cell]
Sn  0.403  0.247  0.714 [4 per cell]
O  0.009  0.500  0.322 [2 per cell]
O  0.078  0.232  0.606 [4 per cell]
O  0.148  0.500  0.101 [2 per cell]
O  0.149  0.000  0.116 [2 per cell]
O  0.221  0.272  0.333 [4 per cell]
O  0.240  0.215  0.833 [4 per cell]
O  0.316  0.000  0.596 [2 per cell]
O  0.333  0.500  0.591 [2 per cell]
O  0.417  0.257  0.101 [4 per cell]
O  0.472  0.000  0.841 [2 per cell]
O  0.494  0.500  0.311 [2 per cell]
O  0.497  0.500  0.817 [2 per cell]

***

Entry 3:
This entry pairs a crystal structure of Li4Cr2Ni3Te3O16 with its theoretical powder diffraction line list. Radiation: Cu Kα (λ = 1.5418 Å). Structure: a crystal structure in the Materials Project, relaxed with GGA+U.
Intensities are scaled so that the largest is 100.

Principal peaks in the range 2θ = 15–90°, by angle:
18.40°, I = 100.0
18.79°, I = 20.8
18.93°, I = 36.7
19.08°, I = 39.1
24.82°, I = 18.6
34.56°, I = 31.4
34.71°, I = 30.7
34.99°, I = 17.5
35.17°, I = 21.3
43.97°, I = 26.7

a b c (Å): 6.110 6.123 9.645
angles (deg): 89.46 88.68 61.19
Space group P1 (No. 1)
Asymmetric unit:
Li  0.000  0.000  0.000 [1 per cell]
Li  0.015  0.003  0.478 [1 per cell]
Li  0.333  0.316  0.366 [1 per cell]
Li  0.675  0.643  0.899 [1 per cell]
Cr  0.311  0.298  0.991 [1 per cell]
Cr  0.632  0.647  0.466 [1 per cell]
Ni  0.160  0.145  0.710 [1 per cell]
Ni  0.327  0.805  0.206 [1 per cell]
Ni  0.818  0.315  0.208 [1 per cell]
Te  0.155  0.639  0.706 [1 per cell]
Te  0.649  0.148  0.708 [1 per cell]
Te  0.819  0.806  0.206 [1 per cell]
O  0.036  0.446  0.844 [1 per cell]
O  0.132  0.651  0.091 [1 per cell]
O  0.160  0.141  0.095 [1 per cell]
O  0.314  0.823  0.587 [1 per cell]
O  0.353  0.284  0.592 [1 per cell]
O  0.485  0.016  0.832 [1 per cell]
O  0.495  0.441  0.836 [1 per cell]
O  0.508  0.501  0.337 [1 per cell]
O  0.525  0.937  0.334 [1 per cell]
O  0.665  0.116  0.094 [1 per cell]
O  0.667  0.650  0.099 [1 per cell]
O  0.799  0.845  0.595 [1 per cell]
O  0.810  0.301  0.596 [1 per cell]
O  0.946  0.520  0.338 [1 per cell]
O  0.961  0.998  0.811 [1 per cell]
O  0.977  0.967  0.299 [1 per cell]

***

Entry 4:
This entry pairs a crystal structure of Li4Ti3Cr3Ni2O16 with its theoretical powder diffraction line list. Radiation: Cu Kα (λ = 1.5418 Å). Structure: a crystal structure in the Materials Project, relaxed with GGA+U.
Intensities are scaled so that the largest is 100.

Principal peaks in the range 2θ = 15–90°, by angle:
18.37°, I = 51.9
19.74°, I = 100.0
25.44°, I = 33.8
32.93°, I = 36.8
35.81°, I = 61.6
36.57°, I = 40.3
40.10°, I = 35.9
45.48°, I = 52.2
60.17°, I = 43.3
63.47°, I = 25.3

a b c (Å): 10.147 5.876 9.659
angles (deg): 90.00 90.03 90.00
Space group Cm (No. 8)
Asymmetric unit:
Li  0.000  0.000  0.000 [2 per cell]
Li  0.002  0.000  0.502 [2 per cell]
Li  0.159  0.500  0.103 [2 per cell]
Li  0.327  0.000  0.605 [2 per cell]
Ti  0.321  0.500  0.777 [2 per cell]
Ti  0.407  0.247  0.281 [4 per cell]
Cr  0.076  0.253  0.787 [4 per cell]
Cr  0.162  0.000  0.287 [2 per cell]
Ni  0.163  0.500  0.509 [2 per cell]
Ni  0.330  0.000  0.009 [2 per cell]
O  0.014  0.500  0.672 [2 per cell]
O  0.079  0.236  0.390 [4 per cell]
O  0.156  0.000  0.886 [2 per cell]
O  0.164  0.500  0.896 [2 per cell]
O  0.234  0.275  0.667 [4 per cell]
O  0.252  0.221  0.168 [4 per cell]
O  0.333  0.000  0.396 [2 per cell]
O  0.337  0.500  0.394 [2 per cell]
O  0.419  0.258  0.892 [4 per cell]
O  0.477  0.000  0.167 [2 per cell]
O  0.493  0.500  0.686 [2 per cell]
O  0.495  0.500  0.184 [2 per cell]

***

Entry 5:
This entry pairs a crystal structure of Li4Cr3Ni3W2O16 with its theoretical powder diffraction line list. Radiation: Cu Kα (λ = 1.5418 Å). Structure: a crystal structure in the Materials Project, relaxed with GGA+U.
Intensities are scaled so that the largest is 100.

Principal peaks in the range 2θ = 15–90°, by angle:
19.52°, I = 100.0
19.68°, I = 20.1
25.26°, I = 29.8
32.75°, I = 21.7
32.86°, I = 13.4
35.39°, I = 36.2
35.64°, I = 18.3
36.04°, I = 20.5
45.11°, I = 11.7
62.65°, I = 13.0

a b c (Å): 10.250 5.972 9.653
angles (deg): 90.00 90.44 90.00
Space group Cm (No. 8)
Asymmetric unit:
Li  0.000  0.000  0.000 [2 per cell]
Li  0.001  0.000  0.505 [2 per cell]
Li  0.169  0.500  0.086 [2 per cell]
Li  0.336  0.000  0.585 [2 per cell]
Cr  0.325  0.500  0.770 [2 per cell]
Cr  0.413  0.246  0.277 [4 per cell]
Ni  0.085  0.255  0.781 [4 per cell]
Ni  0.170  0.000  0.277 [2 per cell]
W  0.162  0.500  0.503 [2 per cell]
W  0.331  0.000  0.005 [2 per cell]
O  0.023  0.500  0.638 [2 per cell]
O  0.084  0.258  0.404 [4 per cell]
O  0.171  0.000  0.907 [2 per cell]
O  0.180  0.500  0.881 [2 per cell]
O  0.249  0.287  0.643 [4 per cell]
O  0.264  0.224  0.142 [4 per cell]
O  0.328  0.500  0.398 [2 per cell]
O  0.337  0.000  0.384 [2 per cell]
O  0.410  0.243  0.902 [4 per cell]
O  0.482  0.000  0.148 [2 per cell]
O  0.491  0.500  0.696 [2 per cell]
O  0.498  0.500  0.186 [2 per cell]

***

Entry 6:
This entry pairs a crystal structure of Li5Cr5O12 with its theoretical powder diffraction line list. Radiation: Cu Kα (λ = 1.5418 Å). Structure: a crystal structure in the Materials Project, relaxed with GGA+U.
Intensities are scaled so that the largest is 100.

Principal peaks in the range 2θ = 15–90°, by angle:
18.23°, I = 100.0
35.77°, I = 21.5
36.01°, I = 11.0
43.25°, I = 47.1
43.63°, I = 23.5
56.98°, I = 9.7
62.51°, I = 5.9
63.14°, I = 6.2
63.40°, I = 6.2
63.56°, I = 6.0

a b c (Å): 5.068 5.087 19.526
angles (deg): 87.81 85.44 60.28
Space group P1 (No. 1)
Asymmetric unit:
Li  0.000  0.000  0.000 [1 per cell]
Li  0.035  0.683  0.877 [1 per cell]
Li  0.080  0.357  0.753 [1 per cell]
Li  0.266  0.999  0.254 [1 per cell]
Li  0.327  0.349  0.000 [1 per cell]
Li  0.405  0.686  0.753 [1 per cell]
Li  0.501  0.998  0.499 [1 per cell]
Li  0.546  0.675  0.376 [1 per cell]
Li  0.588  0.353  0.254 [1 per cell]
Li  0.823  0.355  0.499 [1 per cell]
Cr  0.123  0.012  0.626 [1 per cell]
Cr  0.212  0.342  0.377 [1 per cell]
Cr  0.293  0.680  0.126 [1 per cell]
Cr  0.384  0.003  0.877 [1 per cell]
Cr  0.460  0.347  0.626 [1 per cell]
Cr  0.628  0.009  0.127 [1 per cell]
Cr  0.727  0.337  0.876 [1 per cell]
Cr  0.796  0.681  0.627 [1 per cell]
Cr  0.879  0.007  0.377 [1 per cell]
Cr  0.957  0.352  0.127 [1 per cell]
O  0.034  0.299  0.932 [1 per cell]
O  0.087  0.035  0.820 [1 per cell]
O  0.118  0.680  0.681 [1 per cell]
O  0.142  0.332  0.573 [1 per cell]
O  0.166  0.059  0.432 [1 per cell]
O  0.213  0.674  0.326 [1 per cell]
O  0.291  0.332  0.180 [1 per cell]
O  0.310  0.020  0.073 [1 per cell]
O  0.377  0.697  0.929 [1 per cell]
O  0.417  0.307  0.825 [1 per cell]
O  0.427  0.013  0.679 [1 per cell]
O  0.478  0.687  0.572 [1 per cell]
O  0.540  0.059  0.321 [1 per cell]
O  0.551  0.290  0.432 [1 per cell]
O  0.603  0.686  0.181 [1 per cell]
O  0.642  0.332  0.073 [1 per cell]
O  0.667  0.047  0.930 [1 per cell]
O  0.705  0.656  0.822 [1 per cell]
O  0.782  0.347  0.680 [1 per cell]
O  0.812  0.020  0.573 [1 per cell]
O  0.878  0.674  0.427 [1 per cell]
O  0.925  0.290  0.321 [1 per cell]
O  0.937  0.019  0.179 [1 per cell]
O  0.977  0.686  0.072 [1 per cell]

***

Entry 7:
This entry pairs a crystal structure of Li3CrO4 with its theoretical powder diffraction line list. Radiation: Cu Kα (λ = 1.5418 Å). Structure: a crystal structure in the Materials Project, relaxed with GGA+U.
Intensities are scaled so that the largest is 100.

Principal peaks in the range 2θ = 15–90°, by angle:
15.26°, I = 49.3
18.46°, I = 100.0
24.04°, I = 31.5
24.44°, I = 61.8
26.36°, I = 52.8
36.40°, I = 28.1
43.53°, I = 45.3
44.26°, I = 84.3
63.08°, I = 21.4
64.58°, I = 30.6

a b c (Å): 4.993 5.131 5.807
angles (deg): 90.02 90.03 110.51
Space group P1 (No. 1)
Asymmetric unit:
Li  0.000  0.000  0.000 [1 per cell]
Li  0.002  0.517  0.248 [1 per cell]
Li  0.492  0.531  0.989 [1 per cell]
Li  0.500  0.999  0.742 [1 per cell]
Li  0.502  0.517  0.493 [1 per cell]
Li  0.991  0.530  0.752 [1 per cell]
Cr  0.013  0.027  0.524 [1 per cell]
Cr  0.513  0.028  0.218 [1 per cell]
O  0.214  0.259  0.726 [1 per cell]
O  0.225  0.799  0.482 [1 per cell]
O  0.242  0.228  0.263 [1 per cell]
O  0.266  0.779  0.020 [1 per cell]
O  0.714  0.259  0.016 [1 per cell]
O  0.726  0.800  0.260 [1 per cell]
O  0.742  0.228  0.479 [1 per cell]
O  0.767  0.779  0.723 [1 per cell]

***

Entry 8:
This entry pairs a crystal structure of Li3Cr5O8 with its theoretical powder diffraction line list. Radiation: Cu Kα (λ = 1.5418 Å). Structure: a crystal structure in the Materials Project, relaxed with GGA+U.
Intensities are scaled so that the largest is 100.

Principal peaks in the range 2θ = 15–90°, by angle:
17.80°, I = 96.0
17.96°, I = 18.7
34.96°, I = 21.4
36.39°, I = 22.7
41.53°, I = 52.5
42.41°, I = 100.0
60.65°, I = 13.7
60.93°, I = 13.9
61.04°, I = 13.8
61.88°, I = 13.6

a b c (Å): 6.060 6.074 10.444
angles (deg): 89.07 73.30 60.31
Space group P-1 (No. 2)
Asymmetric unit:
Li  0.000  0.000  0.000 [1 per cell]
Li  0.000  0.500  0.500 [1 per cell]
Li  0.001  0.248  0.749 [2 per cell]
Li  0.002  0.751  0.749 [2 per cell]
Cr  0.000  0.000  0.500 [1 per cell]
Cr  0.000  0.500  0.000 [1 per cell]
Cr  0.496  0.249  0.248 [2 per cell]
Cr  0.497  0.253  0.749 [2 per cell]
Cr  0.500  0.000  0.000 [1 per cell]
Cr  0.500  0.000  0.500 [1 per cell]
Cr  0.500  0.500  0.000 [1 per cell]
Cr  0.500  0.500  0.500 [1 per cell]
O  0.254  0.149  0.883 [2 per cell]
O  0.254  0.650  0.383 [2 per cell]
O  0.277  0.357  0.116 [2 per cell]
O  0.277  0.358  0.619 [2 per cell]
O  0.278  0.103  0.370 [2 per cell]
O  0.282  0.856  0.119 [2 per cell]
O  0.283  0.605  0.869 [2 per cell]
O  0.288  0.852  0.619 [2 per cell]